1.
Diffraction record for Ca2MgW2. The powder diffraction line list is calculated, not measured: it uses a DFT-relaxed cell (GGA-PBE, Alexandria) and CuKα.
Neutral-atom scattering factors, no anomalous dispersion.

Structure:
```
Ca2MgW2
1.0
8.8757 0.0000 0.0000
0.0000 8.8757 0.0000
0.0000 0.0000 3.1505
Ca Mg W
4 2 4
Direct
0.1990 0.3010 0.0000
0.3010 0.8010 0.0000
0.6990 0.1990 0.0000
0.8010 0.6990 0.0000
0.0000 0.0000 0.5000
0.5000 0.5000 0.5000
0.0906 0.5906 0.5000
0.4094 0.0906 0.5000
0.5906 0.9094 0.5000
0.9094 0.4094 0.5000
```

The 12 most intense peaks (2θ from 15° to 90°), by angle:
2θ/deg  I/Imax
20.01  11.3
22.40  24.5
28.33  19.4
31.78  31.4
34.93  29.8
36.46  100.0
41.97  14.9
46.84  39.0
52.57  14.1
59.80  21.2
60.79  23.8
71.04  15.8

***

2.
Diffraction record for Pm8Sb3. The powder diffraction line list is calculated, not measured: it uses a DFT-relaxed cell (GGA-PBE, Alexandria) and CuKα.
Neutral-atom scattering factors, no anomalous dispersion.

Structure:
```
Pm8Sb3
1.0
5.1210 2.9566 4.2564
-5.1210 2.9566 4.2564
0.0000 -5.9132 4.2564
Pm Sb
8 3
Direct
0.1386 0.1386 0.1386
0.1792 0.6234 0.3595
0.3595 0.1792 0.6234
0.3766 0.6404 0.8208
0.6234 0.3595 0.1792
0.6405 0.8208 0.3766
0.8208 0.3766 0.6405
0.8614 0.8614 0.8614
0.0000 0.0000 0.5000
0.0000 0.5000 0.0000
0.5000 0.0000 0.0000
```

The 12 most intense peaks (2θ from 15° to 90°), by angle:
2θ/deg  I/Imax
27.24  32.2
27.51  100.0
29.74  38.9
30.11  44.3
40.77  16.8
41.14  34.6
41.33  10.7
46.61  12.4
46.92  26.0
56.20  10.3
56.78  9.4
57.52  9.2

***

3.
Diffraction record for Tl8SeCl6. The powder diffraction line list is calculated, not measured: it uses a DFT-relaxed cell (GGA-PBE, Alexandria) and CuKα.
Neutral-atom scattering factors, no anomalous dispersion.

Structure:
```
Tl8SeCl6
1.0
4.8866 2.8213 6.2968
-4.8866 2.8213 6.2968
0.0000 -5.6426 6.2968
Tl Se Cl
8 1 6
Direct
0.1425 0.4239 0.6733
0.1815 0.1815 0.1815
0.3268 0.8575 0.5761
0.4239 0.6732 0.1425
0.5761 0.3267 0.8575
0.6732 0.1425 0.4239
0.8185 0.8185 0.8185
0.8575 0.5761 0.3268
0.5000 0.5000 0.5000
0.0863 0.8408 0.3662
0.1592 0.6338 0.9137
0.3662 0.0863 0.8408
0.6338 0.9137 0.1592
0.8408 0.3662 0.0863
0.9137 0.1592 0.6338
```

The 12 most intense peaks (2θ from 15° to 90°), by angle:
2θ/deg  I/Imax
21.52  14.7
23.04  100.0
28.32  24.9
29.48  54.5
31.72  43.3
33.86  76.2
39.58  16.9
47.09  42.3
47.85  26.4
49.36  20.6
58.55  16.1
61.83  18.7

***

4.
Diffraction record for Nd12ErPb3. The powder diffraction line list is calculated, not measured: it uses a DFT-relaxed cell (GGA-PBE, Alexandria) and CuKα.
Neutral-atom scattering factors, no anomalous dispersion.

Structure:
```
Nd12ErPb3
1.0
5.0113 0.0000 0.0000
0.0000 5.0113 0.0000
0.0000 0.0000 20.3968
Nd Er Pb
12 1 3
Direct
0.0000 0.0000 0.0000
0.0000 0.0000 0.2449
0.0000 0.0000 0.5000
0.0000 0.0000 0.7551
0.0000 0.5000 0.1221
0.0000 0.5000 0.3698
0.0000 0.5000 0.6302
0.0000 0.5000 0.8779
0.5000 0.0000 0.1221
0.5000 0.0000 0.3698
0.5000 0.0000 0.6302
0.5000 0.0000 0.8779
0.5000 0.5000 0.5000
0.5000 0.5000 0.0000
0.5000 0.5000 0.2452
0.5000 0.5000 0.7548
```

The 12 most intense peaks (2θ from 15° to 90°), by angle:
2θ/deg  I/Imax
30.73  100.0
35.20  16.9
35.84  33.5
51.11  23.6
51.59  11.9
60.40  13.7
61.25  28.4
63.99  12.0
83.38  11.2
84.13  6.0
86.57  5.4
86.94  5.6

***

5.
Diffraction record for ErW2C2. The powder diffraction line list is calculated, not measured: it uses a DFT-relaxed cell (GGA-PBE, Alexandria) and CuKα.
Neutral-atom scattering factors, no anomalous dispersion.

Structure:
```
ErW2C2
1.0
0.0000 4.4003 4.5949
3.5630 0.0000 4.5949
3.5630 4.4003 0.0000
Er W C
2 4 4
Direct
0.1250 0.1250 0.1250
0.8750 0.8750 0.8750
0.2325 0.2325 0.5175
0.4825 0.4825 0.7675
0.5175 0.5175 0.2325
0.7675 0.7675 0.4825
0.1655 0.5845 0.1655
0.4155 0.8345 0.4155
0.5845 0.1655 0.5845
0.8345 0.4155 0.8345
```

The 12 most intense peaks (2θ from 15° to 90°), by angle:
2θ/deg  I/Imax
32.33  100.0
33.43  83.4
41.02  29.4
44.62  40.7
49.66  27.9
51.28  15.9
58.36  18.4
62.21  13.6
67.67  13.5
69.27  12.2
74.18  10.0
81.13  10.3

***

6.
Diffraction record for Ce3Al. The powder diffraction line list is calculated, not measured: it uses a DFT-relaxed cell (GGA-PBE, Alexandria) and CuKα.
Neutral-atom scattering factors, no anomalous dispersion.

Structure:
```
Ce3Al
1.0
3.2203 0.0000 0.0000
0.0000 5.3110 0.0000
0.0000 0.0000 5.7202
Ce Al
3 1
Direct
0.0000 0.0000 0.0000
0.0000 0.5000 0.4044
0.5000 0.5000 0.8596
0.5000 0.0000 0.5148
```

The 12 most intense peaks (2θ from 15° to 90°), by angle:
2θ/deg  I/Imax
16.69  12.2
22.85  18.9
31.27  22.7
31.89  15.3
33.75  35.2
35.65  28.8
36.20  100.0
46.68  14.9
47.12  10.3
56.05  12.1
61.98  20.8
67.05  14.0

***

7.
Diffraction record for NdGa2Au5. The powder diffraction line list is calculated, not measured: it uses a DFT-relaxed cell (GGA-PBE, Alexandria) and CuKα.
Neutral-atom scattering factors, no anomalous dispersion.

Structure:
```
NdGa2Au5
1.0
4.1114 0.0000 0.0000
0.0000 7.3722 0.0000
0.0000 0.0000 10.7049
Nd Ga Au
2 4 10
Direct
0.0000 0.0000 0.0000
0.5000 0.5000 0.5000
0.0000 0.5000 0.2454
0.0000 0.5000 0.7546
0.5000 0.0000 0.2546
0.5000 0.0000 0.7454
0.0000 0.2059 0.3648
0.0000 0.2059 0.6352
0.0000 0.5000 0.0000
0.0000 0.7941 0.3648
0.0000 0.7941 0.6352
0.5000 0.0000 0.5000
0.5000 0.2941 0.1352
0.5000 0.2941 0.8648
0.5000 0.7059 0.1352
0.5000 0.7059 0.8648
```

The 12 most intense peaks (2θ from 15° to 90°), by angle:
2θ/deg  I/Imax
33.25  80.6
33.71  100.0
41.71  58.2
42.11  14.6
42.87  25.7
44.05  31.5
47.90  15.6
60.90  11.5
62.27  35.8
70.49  17.5
74.38  10.5
77.47  13.7

***

8.
Diffraction record for Li2PaCuO5. The powder diffraction line list is calculated, not measured: it uses a DFT-relaxed cell (GGA-PBE, Alexandria) and CuKα.
Neutral-atom scattering factors, no anomalous dispersion.

Structure:
```
Li2PaCuO5
1.0
-1.7565 2.6957 5.0850
1.7565 -2.6957 5.0850
1.7565 2.6957 -5.0850
Li Pa Cu O
2 1 1 5
Direct
0.2087 0.2087 0.0000
0.7913 0.7913 0.0000
0.5000 0.0000 0.5000
0.0000 0.5000 0.5000
0.0000 0.0000 0.0000
0.1655 0.3758 0.7897
0.4140 0.6242 0.7897
0.5860 0.3758 0.2103
0.8345 0.6242 0.2103
```

The 12 most intense peaks (2θ from 15° to 90°), by angle:
2θ/deg  I/Imax
17.44  100.0
18.63  39.1
26.85  12.0
30.37  35.6
33.24  15.5
35.24  75.7
36.85  15.3
37.77  29.2
43.23  20.3
47.24  28.6
49.27  20.2
60.68  13.7

***

9.
Diffraction record for Tb7Sm2Y3. The powder diffraction line list is calculated, not measured: it uses a DFT-relaxed cell (GGA-PBE, Alexandria) and CuKα.
Neutral-atom scattering factors, no anomalous dispersion.

Structure:
```
Tb7Sm2Y3
1.0
6.3613 0.0000 0.0000
0.0000 3.5349 0.0000
-1.8535 0.0000 17.3961
Tb Sm Y
7 2 3
Direct
0.0000 0.0000 0.0000
0.2253 0.5000 0.1671
0.2562 0.5000 0.4984
0.2736 0.0000 0.8350
0.7264 0.0000 0.1650
0.7438 0.5000 0.5016
0.7747 0.5000 0.8329
0.0590 0.5000 0.6723
0.9410 0.5000 0.3277
0.4513 0.0000 0.3417
0.5000 0.5000 0.0000
0.5487 0.0000 0.6583
```

The 12 most intense peaks (2θ from 15° to 90°), by angle:
2θ/deg  I/Imax
29.66  57.3
30.73  84.3
30.84  97.3
31.25  100.0
33.69  65.5
34.77  76.3
37.96  26.4
50.17  35.4
52.78  39.8
59.66  35.3
61.38  23.5
61.44  27.1

***

10.
Diffraction record for CsNpTiS4. The powder diffraction line list is calculated, not measured: it uses a DFT-relaxed cell (GGA-PBE, Alexandria) and CuKα.
Neutral-atom scattering factors, no anomalous dispersion.

Structure:
```
CsNpTiS4
1.0
6.6739 0.0000 0.0000
0.0000 6.7775 0.0000
-3.0980 0.0000 9.0955
Cs Np Ti S
2 2 2 8
Direct
0.2268 0.2500 0.4391
0.7732 0.7500 0.5609
0.2844 0.2500 0.9535
0.7156 0.7500 0.0465
0.2706 0.7500 0.1589
0.7294 0.2500 0.8411
0.0499 0.7500 0.9288
0.0649 0.7500 0.3058
0.4932 0.5056 0.8114
0.4932 0.9944 0.8114
0.5068 0.0056 0.1886
0.5068 0.4944 0.1886
0.9351 0.2500 0.6942
0.9501 0.2500 0.0712
```

The 12 most intense peaks (2θ from 15° to 90°), by angle:
2θ/deg  I/Imax
19.21  100.0
19.52  34.1
23.56  39.2
24.00  43.7
26.30  51.2
28.75  22.9
30.66  55.8
31.69  42.4
32.96  36.4
33.29  22.7
38.98  37.5
41.91  26.0

***

11.
Diffraction record for Zr2Zn4Au. The powder diffraction line list is calculated, not measured: it uses a DFT-relaxed cell (GGA-PBE, Alexandria) and CuKα.
Neutral-atom scattering factors, no anomalous dispersion.

Structure:
```
Zr2Zn4Au
1.0
0.0000 4.7985 4.9318
2.6896 0.0000 4.9318
2.6896 4.7985 0.0000
Zr Zn Au
2 4 1
Direct
0.1632 0.1632 0.8368
0.8368 0.8368 0.1632
0.0000 0.0000 0.5000
0.2500 0.2500 0.2500
0.5000 0.5000 0.0000
0.7500 0.7500 0.7500
0.5000 0.5000 0.5000
```

The 12 most intense peaks (2θ from 15° to 90°), by angle:
2θ/deg  I/Imax
20.97  19.4
33.27  98.3
36.44  18.4
37.49  53.4
38.37  100.0
42.88  47.9
53.94  23.3
58.24  19.2
59.48  27.0
66.16  13.1
68.22  17.6
69.90  19.2

***

12.
Diffraction record for LiSb4Te7. The powder diffraction line list is calculated, not measured: it uses a DFT-relaxed cell (GGA-PBE, Alexandria) and CuKα.
Neutral-atom scattering factors, no anomalous dispersion.

Structure:
```
LiSb4Te7
1.0
4.2735 0.0000 0.0000
-2.1367 3.7009 0.0000
0.0000 0.0000 24.2275
Li Sb Te
1 4 7
Direct
0.0000 0.0000 0.0000
0.3333 0.6667 0.1484
0.3333 0.6667 0.4167
0.6667 0.3333 0.5833
0.6667 0.3333 0.8516
0.0000 0.0000 0.2210
0.0000 0.0000 0.5000
0.0000 0.0000 0.7790
0.3333 0.6667 0.6552
0.3333 0.6667 0.9307
0.6667 0.3333 0.0693
0.6667 0.3333 0.3448
```

The 12 most intense peaks (2θ from 15° to 90°), by angle:
2θ/deg  I/Imax
26.49  12.7
28.26  100.0
32.83  9.7
35.51  11.0
38.41  29.2
42.30  39.5
44.71  10.3
51.64  21.4
58.45  8.4
68.89  16.6
69.96  10.0
74.76  8.1